(1)
Starting from a GGA-PBE-relaxed structure, the powder diffractogram of CsTlVTe3 was calculated for λ = 1.5418 Å (Cu Kα).
No peak broadening, texture or thermal motion is included.

Structural model:
Cell lengths 9.015, 9.015, 7.646 Å; angles 90.13, 90.13, 125.56 degrees
Sites, in units of the cell vectors:
Cs 0.211 0.789 0.750
Cs 0.789 0.211 0.250
Tl 0.418 0.582 0.250
Tl 0.582 0.418 0.750
V 0.055 0.945 0.250
V 0.945 0.055 0.750
Te 0.208 0.210 0.500
Te 0.210 0.208 0.000
Te 0.212 0.788 0.250
Te 0.788 0.212 0.750
Te 0.790 0.792 0.000
Te 0.792 0.790 0.500

The 8 most intense peaks (15° ≤ 2θ ≤ 90°), in order of falling intensity:
22.99 deg, rel. 100
31.84 deg, rel. 95
32.01 deg, rel. 93
29.90 deg, rel. 92
25.82 deg, rel. 70
24.27 deg, rel. 66
38.23 deg, rel. 50
41.22 deg, rel. 46



(2)
Starting from a GGA-PBE-relaxed structure, the powder diffractogram of Nd8Hg2Rh3 was calculated for λ = 1.5418 Å (Cu Kα).
No peak broadening, texture or thermal motion is included.

Structural model:
Cell lengths 8.938, 5.089, 8.945 Å; angles 90.00, 110.14, 90.00 degrees
Sites, in units of the cell vectors:
Nd 0.115 0.000 0.384
Nd 0.131 0.500 0.862
Nd 0.361 0.500 0.630
Nd 0.385 0.000 0.116
Nd 0.615 0.000 0.884
Nd 0.639 0.500 0.370
Nd 0.869 0.500 0.138
Nd 0.885 0.000 0.616
Hg 0.256 0.500 0.244
Hg 0.744 0.500 0.756
Rh 0.000 0.500 0.500
Rh 0.256 0.000 0.756
Rh 0.744 0.000 0.244

The 8 most intense peaks (15° ≤ 2θ ≤ 90°), in order of falling intensity:
34.89 deg, rel. 100
21.21 deg, rel. 26
35.05 deg, rel. 26
35.27 deg, rel. 25
50.58 deg, rel. 18
62.77 deg, rel. 18
63.06 deg, rel. 18
84.81 deg, rel. 12



(3)
Starting from a GGA-PBE-relaxed structure, the powder diffractogram of Na2Sr2Ca15 was calculated for λ = 1.5418 Å (Cu Kα).
No peak broadening, texture or thermal motion is included.

Structural model:
Cell lengths 9.661, 9.661, 9.661 Å; angles 81.74, 81.74, 81.74 degrees
Sites, in units of the cell vectors:
Na 0.091 0.091 0.091
Na 0.909 0.909 0.909
Sr 0.325 0.325 0.325
Sr 0.675 0.675 0.675
Ca 0.000 0.000 0.500
Ca 0.000 0.313 0.687
Ca 0.000 0.500 0.000
Ca 0.000 0.687 0.313
Ca 0.159 0.655 0.655
Ca 0.313 0.000 0.687
Ca 0.313 0.687 0.000
Ca 0.345 0.345 0.841
Ca 0.345 0.841 0.345
Ca 0.500 0.000 0.000
Ca 0.655 0.159 0.655
Ca 0.655 0.655 0.159
Ca 0.687 0.000 0.313
Ca 0.687 0.313 0.000
Ca 0.841 0.345 0.345

The 8 most intense peaks (15° ≤ 2θ ≤ 90°), in order of falling intensity:
28.22 deg, rel. 100
49.96 deg, rel. 23
31.64 deg, rel. 19
58.37 deg, rel. 18
24.39 deg, rel. 17
45.36 deg, rel. 15
40.34 deg, rel. 15
19.85 deg, rel. 13



(4)
Starting from a GGA-PBE-relaxed structure, the powder diffractogram of RbIn12Bi6 was calculated for λ = 1.5418 Å (Cu Kα).
No peak broadening, texture or thermal motion is included.

Structural model:
Cell lengths 9.172, 9.172, 9.172 Å; angles 106.65, 106.65, 106.65 degrees
Sites, in units of the cell vectors:
Rb 0.000 0.000 0.000
In 0.112 0.500 0.888
In 0.112 0.888 0.500
In 0.174 0.403 0.403
In 0.403 0.174 0.403
In 0.403 0.403 0.174
In 0.500 0.112 0.888
In 0.500 0.888 0.112
In 0.597 0.597 0.826
In 0.597 0.826 0.597
In 0.826 0.597 0.597
In 0.888 0.112 0.500
In 0.888 0.500 0.112
Bi 0.266 0.725 0.725
Bi 0.275 0.275 0.734
Bi 0.275 0.734 0.275
Bi 0.725 0.266 0.725
Bi 0.725 0.725 0.266
Bi 0.734 0.275 0.275

The 8 most intense peaks (15° ≤ 2θ ≤ 90°), in order of falling intensity:
39.40 deg, rel. 100
32.99 deg, rel. 98
37.42 deg, rel. 84
31.80 deg, rel. 83
28.51 deg, rel. 77
35.25 deg, rel. 74
26.65 deg, rel. 74
24.20 deg, rel. 69



(5)
Starting from a GGA-PBE-relaxed structure, the powder diffractogram of TcSbO2F8 was calculated for λ = 1.5418 Å (Cu Kα).
No peak broadening, texture or thermal motion is included.

Structural model:
Cell lengths 7.553, 10.754, 12.027 Å; angles 90.00, 126.07, 90.00 degrees
Sites, in units of the cell vectors:
Tc 0.032 0.174 0.163
Tc 0.032 0.326 0.663
Tc 0.968 0.674 0.337
Tc 0.968 0.826 0.837
Sb 0.407 0.022 0.688
Sb 0.407 0.478 0.188
Sb 0.593 0.522 0.812
Sb 0.593 0.978 0.312
O 0.027 0.532 0.309
O 0.027 0.968 0.809
O 0.210 0.748 0.425
O 0.210 0.752 0.925
O 0.790 0.248 0.075
O 0.790 0.252 0.575
O 0.973 0.032 0.191
O 0.973 0.468 0.691
F 0.054 0.138 0.020
F 0.054 0.362 0.520
F 0.167 0.245 0.334
F 0.167 0.255 0.834
F 0.194 0.154 0.650
F 0.194 0.346 0.150
F 0.204 0.600 0.161
F 0.204 0.900 0.661
F 0.285 0.015 0.498
F 0.285 0.485 0.998
F 0.387 0.643 0.783
F 0.387 0.857 0.283
F 0.388 0.113 0.276
F 0.388 0.387 0.776
F 0.471 0.529 0.621
F 0.471 0.971 0.121
F 0.529 0.029 0.879
F 0.529 0.471 0.379
F 0.612 0.613 0.224
F 0.612 0.887 0.724
F 0.613 0.143 0.717
F 0.613 0.357 0.217
F 0.715 0.515 0.002
F 0.715 0.985 0.502
F 0.796 0.100 0.339
F 0.796 0.400 0.839
F 0.806 0.654 0.850
F 0.806 0.846 0.350
F 0.833 0.745 0.166
F 0.833 0.755 0.666
F 0.946 0.638 0.480
F 0.946 0.862 0.980

The 8 most intense peaks (15° ≤ 2θ ≤ 90°), in order of falling intensity:
22.03 deg, rel. 100
18.25 deg, rel. 61
22.50 deg, rel. 59
17.31 deg, rel. 55
15.21 deg, rel. 48
22.83 deg, rel. 46
20.28 deg, rel. 44
20.05 deg, rel. 38